(1)
The following is a simulated powder diffraction line list of RbAl3Sn3. It was derived from a PBE-relaxed structure, using Cu Kα (weighted mean of Kα1 and Kα2).
Neutral-atom scattering factors, no anomalous dispersion.

Principal peaks in the range 10 to 90 degrees two-theta, by angle:
2θ/deg  Rel. int.
17.86  13
25.87  100
26.93  13
30.27  37
36.54  38
42.64  36
44.02  24
50.55  16
51.16  14
68.22  13

Structure:
```
data_RbAl3Sn3
_symmetry_space_group_name_H-M 'P 1'
_symmetry_Int_Tables_number 1
_cell_length_a 10.801
_cell_length_b 10.801
_cell_length_c 10.801
_cell_angle_alpha 39.75
_cell_angle_beta 39.75
_cell_angle_gamma 39.75
loop_
_symmetry_equiv_pos_as_xyz
'x,y,z'
loop_
_atom_site_label
_atom_site_type_symbol
_atom_site_fract_x
_atom_site_fract_y
_atom_site_fract_z
Rb1 Rb 0.167 0.167 0.167
Rb2 Rb 0.833 0.833 0.833
Al1 Al 0.015 0.695 0.360
Al2 Al 0.305 0.640 0.985
Al3 Al 0.360 0.015 0.695
Al4 Al 0.640 0.985 0.305
Al5 Al 0.695 0.360 0.015
Al6 Al 0.985 0.305 0.640
Sn1 Sn 0.082 0.402 0.729
Sn2 Sn 0.271 0.918 0.598
Sn3 Sn 0.402 0.729 0.082
Sn4 Sn 0.598 0.271 0.918
Sn5 Sn 0.729 0.082 0.402
Sn6 Sn 0.918 0.598 0.271
```

=====

(2)
The following is a simulated powder diffraction line list of Li3B4C4. It was derived from a PBE-relaxed structure, using Cu Kα (weighted mean of Kα1 and Kα2).
Neutral-atom scattering factors, no anomalous dispersion.

Principal peaks in the range 10 to 90 degrees two-theta, by angle:
2θ/deg  Rel. int.
18.78  3
25.01  100
31.46  2
38.09  9
40.21  2
46.11  54
51.33  17
68.82  18
74.49  10
86.87  7

Structure:
```
data_Li3B4C4
_symmetry_space_group_name_H-M 'P 1'
_symmetry_Int_Tables_number 1
_cell_length_a 5.457
_cell_length_b 5.457
_cell_length_c 7.120
_cell_angle_alpha 90.00
_cell_angle_beta 90.00
_cell_angle_gamma 120.00
loop_
_symmetry_equiv_pos_as_xyz
'x,y,z'
loop_
_atom_site_label
_atom_site_type_symbol
_atom_site_fract_x
_atom_site_fract_y
_atom_site_fract_z
Li1 Li 0.000 0.500 0.000
Li2 Li 0.000 0.500 0.500
Li3 Li 0.500 0.000 0.000
Li4 Li 0.500 0.000 0.500
Li5 Li 0.500 0.500 0.000
Li6 Li 0.500 0.500 0.500
B1 B 0.164 0.329 0.250
B2 B 0.164 0.836 0.250
B3 B 0.329 0.164 0.750
B4 B 0.333 0.667 0.750
B5 B 0.667 0.333 0.250
B6 B 0.671 0.836 0.250
B7 B 0.836 0.164 0.750
B8 B 0.836 0.671 0.750
C1 C 0.167 0.334 0.750
C2 C 0.167 0.833 0.750
C3 C 0.333 0.667 0.250
C4 C 0.334 0.167 0.250
C5 C 0.666 0.833 0.750
C6 C 0.667 0.333 0.750
C7 C 0.833 0.167 0.250
C8 C 0.833 0.666 0.250
```

=====

(3)
The following is a simulated powder diffraction line list of TlZnPt2. It was derived from a PBE-relaxed structure, using Cu Kα (weighted mean of Kα1 and Kα2).
Neutral-atom scattering factors, no anomalous dispersion.

Principal peaks in the range 10 to 90 degrees two-theta, by angle:
2θ/deg  Rel. int.
25.56  18
35.53  27
35.77  17
38.12  100
47.18  16
49.03  14
51.74  16
70.39  11
72.60  12
81.58  18

Structure:
```
data_TlZnPt2
_symmetry_space_group_name_H-M 'P 1'
_symmetry_Int_Tables_number 1
_cell_length_a 3.716
_cell_length_b 3.853
_cell_length_c 10.042
_cell_angle_alpha 90.00
_cell_angle_beta 90.00
_cell_angle_gamma 90.00
loop_
_symmetry_equiv_pos_as_xyz
'x,y,z'
loop_
_atom_site_label
_atom_site_type_symbol
_atom_site_fract_x
_atom_site_fract_y
_atom_site_fract_z
Tl1 Tl 0.000 0.000 0.000
Tl2 Tl 0.500 0.500 0.500
Zn1 Zn 0.000 0.500 0.740
Zn2 Zn 0.500 0.000 0.240
Pt1 Pt 0.000 0.000 0.421
Pt2 Pt 0.000 0.500 0.207
Pt3 Pt 0.500 0.000 0.707
Pt4 Pt 0.500 0.500 0.921
```

=====

(4)
The following is a simulated powder diffraction line list of CeYPt2. It was derived from a PBE-relaxed structure, using Cu Kα (weighted mean of Kα1 and Kα2).
Neutral-atom scattering factors, no anomalous dispersion.

Principal peaks in the range 10 to 90 degrees two-theta, by angle:
2θ/deg  Rel. int.
24.98  19
31.99  100
33.37  34
39.03  26
39.92  35
40.03  94
48.17  21
52.99  20
64.28  18
72.57  17

Structure:
```
data_CeYPt2
_symmetry_space_group_name_H-M 'P 1'
_symmetry_Int_Tables_number 1
_cell_length_a 4.517
_cell_length_b 3.778
_cell_length_c 10.739
_cell_angle_alpha 90.00
_cell_angle_beta 90.00
_cell_angle_gamma 90.00
loop_
_symmetry_equiv_pos_as_xyz
'x,y,z'
loop_
_atom_site_label
_atom_site_type_symbol
_atom_site_fract_x
_atom_site_fract_y
_atom_site_fract_z
Ce1 Ce 0.000 0.000 0.000
Ce2 Ce 0.000 0.500 0.500
Y1 Y 0.500 0.000 0.274
Y2 Y 0.500 0.500 0.774
Pt1 Pt 0.000 0.000 0.727
Pt2 Pt 0.000 0.500 0.227
Pt3 Pt 0.500 0.000 0.544
Pt4 Pt 0.500 0.500 0.044
```

=====

(5)
The following is a simulated powder diffraction line list of Er7Mg2Cd2. It was derived from a PBE-relaxed structure, using Cu Kα (weighted mean of Kα1 and Kα2).
Neutral-atom scattering factors, no anomalous dispersion.

Principal peaks in the range 10 to 90 degrees two-theta, by angle:
2θ/deg  Rel. int.
10.36  33
25.80  55
28.01  67
30.43  80
31.54  90
34.26  47
35.28  53
37.15  100
42.68  38
69.89  38

Structure:
```
data_Er7Mg2Cd2
_symmetry_space_group_name_H-M 'P 1'
_symmetry_Int_Tables_number 1
_cell_length_a 6.632
_cell_length_b 6.632
_cell_length_c 8.538
_cell_angle_alpha 90.00
_cell_angle_beta 90.00
_cell_angle_gamma 117.65
loop_
_symmetry_equiv_pos_as_xyz
'x,y,z'
loop_
_atom_site_label
_atom_site_type_symbol
_atom_site_fract_x
_atom_site_fract_y
_atom_site_fract_z
Er1 Er 0.000 0.000 0.000
Er2 Er 0.000 0.500 0.299
Er3 Er 0.000 0.500 0.701
Er4 Er 0.500 0.000 0.299
Er5 Er 0.500 0.000 0.701
Er6 Er 0.500 0.500 0.205
Er7 Er 0.500 0.500 0.795
Mg1 Mg 0.208 0.208 0.500
Mg2 Mg 0.792 0.792 0.500
Cd1 Cd 0.275 0.725 0.000
Cd2 Cd 0.725 0.275 0.000
```

=====

(6)
The following is a simulated powder diffraction line list of Rb2HfCuTe4. It was derived from a PBE-relaxed structure, using Cu Kα (weighted mean of Kα1 and Kα2).
Neutral-atom scattering factors, no anomalous dispersion.

Principal peaks in the range 10 to 90 degrees two-theta, by angle:
2θ/deg  Rel. int.
13.06  54
13.40  64
22.91  81
24.73  59
28.06  100
34.90  49
37.92  40
41.00  31
44.22  34
46.26  37

Structure:
```
data_Rb2HfCuTe4
_symmetry_space_group_name_H-M 'P 1'
_symmetry_Int_Tables_number 1
_cell_length_a 15.524
_cell_length_b 13.911
_cell_length_c 8.187
_cell_angle_alpha 85.08
_cell_angle_beta 63.23
_cell_angle_gamma 31.70
loop_
_symmetry_equiv_pos_as_xyz
'x,y,z'
loop_
_atom_site_label
_atom_site_type_symbol
_atom_site_fract_x
_atom_site_fract_y
_atom_site_fract_z
Rb1 Rb 0.054 0.054 0.696
Rb2 Rb 0.304 0.304 0.946
Rb3 Rb 0.696 0.696 0.054
Rb4 Rb 0.946 0.946 0.304
Hf1 Hf 0.125 0.125 0.125
Hf2 Hf 0.875 0.875 0.875
Cu1 Cu 0.375 0.375 0.375
Cu2 Cu 0.625 0.625 0.625
Te1 Te 0.023 0.338 0.435
Te2 Te 0.296 0.565 0.662
Te3 Te 0.338 0.023 0.704
Te4 Te 0.435 0.704 0.023
Te5 Te 0.565 0.296 0.977
Te6 Te 0.662 0.977 0.296
Te7 Te 0.704 0.435 0.338
Te8 Te 0.977 0.662 0.565
```

=====

(7)
The following is a simulated powder diffraction line list of La3Al2Ag4. It was derived from a PBE-relaxed structure, using Cu Kα (weighted mean of Kα1 and Kα2).
Neutral-atom scattering factors, no anomalous dispersion.

Principal peaks in the range 10 to 90 degrees two-theta, by angle:
2θ/deg  Rel. int.
30.35  29
32.12  33
32.28  47
32.49  100
37.49  74
37.66  41
50.31  18
50.58  23
63.49  14
64.73  19

Structure:
```
data_La3Al2Ag4
_symmetry_space_group_name_H-M 'P 1'
_symmetry_Int_Tables_number 1
_cell_length_a 6.098
_cell_length_b 6.098
_cell_length_c 9.072
_cell_angle_alpha 112.36
_cell_angle_beta 112.36
_cell_angle_gamma 46.12
loop_
_symmetry_equiv_pos_as_xyz
'x,y,z'
loop_
_atom_site_label
_atom_site_type_symbol
_atom_site_fract_x
_atom_site_fract_y
_atom_site_fract_z
La1 La 0.000 0.000 0.000
La2 La 0.352 0.352 0.321
La3 La 0.648 0.648 0.679
Al1 Al 0.357 0.357 0.689
Al2 Al 0.643 0.643 0.311
Ag1 Ag 0.090 0.090 0.411
Ag2 Ag 0.284 0.284 0.937
Ag3 Ag 0.716 0.716 0.063
Ag4 Ag 0.910 0.910 0.589
```

=====

(8)
The following is a simulated powder diffraction line list of Mg3SnPd4. It was derived from a PBE-relaxed structure, using Cu Kα (weighted mean of Kα1 and Kα2).
Neutral-atom scattering factors, no anomalous dispersion.

Principal peaks in the range 10 to 90 degrees two-theta, by angle:
2θ/deg  Rel. int.
20.78  11
27.43  9
27.88  18
39.51  100
39.84  49
56.61  9
57.68  10
71.45  17
72.12  33
85.07  11

Structure:
```
data_Mg3SnPd4
_symmetry_space_group_name_H-M 'P 1'
_symmetry_Int_Tables_number 1
_cell_length_a 7.249
_cell_length_b 7.247
_cell_length_c 4.525
_cell_angle_alpha 71.84
_cell_angle_beta 71.78
_cell_angle_gamma 36.38
loop_
_symmetry_equiv_pos_as_xyz
'x,y,z'
loop_
_atom_site_label
_atom_site_type_symbol
_atom_site_fract_x
_atom_site_fract_y
_atom_site_fract_z
Mg1 Mg 0.000 0.000 0.000
Mg2 Mg 0.249 0.249 0.751
Mg3 Mg 0.751 0.751 0.249
Sn1 Sn 0.500 0.500 0.500
Pd1 Pd 0.126 0.126 0.374
Pd2 Pd 0.374 0.374 0.126
Pd3 Pd 0.626 0.626 0.874
Pd4 Pd 0.874 0.874 0.626
```